# 1
Computed powder XRD pattern of Zr2TlBr for Cu Kα, from a GGA-PBE-relaxed structure.
Peak positions follow from Bragg's law for the DFT cell and can differ from measured ones.

Crystal structure
```
Zr2TlBr
1.0
4.048 0.000 0.000
0.000 5.080 0.000
0.000 0.000 10.690
Zr Tl Br
4 2 2
direct
0.000 0.000 0.000
0.000 0.500 0.210
0.500 0.000 0.210
0.500 0.500 0.000
0.000 0.000 0.446
0.500 0.500 0.446
0.000 0.500 0.820
0.500 0.000 0.820
```

Principal peaks in the range 2θ = 15–90°, low angle first:
2θ (°), I/Imax
16.59, 27.4
29.42, 21.6
32.88, 100.0
35.34, 28.5
38.02, 27.3
44.36, 13.6
44.77, 14.6
61.88, 16.0

=====

# 2
Computed powder XRD pattern of ZrTlBr for Cu Kα, from a GGA-PBE-relaxed structure.
Peak positions follow from Bragg's law for the DFT cell and can differ from measured ones.

Crystal structure
```
ZrTlBr
1.0
3.428 0.000 0.000
-1.714 2.969 0.000
0.000 0.000 8.242
Zr Tl Br
1 1 1
direct
0.000 0.000 0.000
0.667 0.333 0.699
0.333 0.667 0.230
```

Principal peaks in the range 2θ = 15–90°, low angle first:
2θ (°), I/Imax
21.56, 23.7
32.05, 100.0
37.33, 54.4
44.96, 29.2
53.46, 21.6
63.70, 14.0
64.68, 13.8
71.61, 13.3

=====

# 3
Computed powder XRD pattern of Zr3Tl2Br9 for Cu Kα, from a GGA-PBE-relaxed structure.
Peak positions follow from Bragg's law for the DFT cell and can differ from measured ones.

Crystal structure
```
Zr3Tl2Br9
1.0
5.482 -9.126 0.000
5.482 9.126 0.000
-4.290 0.000 9.469
Zr Tl Br
6 4 18
direct
0.047 0.231 0.647
0.131 0.131 0.365
0.231 0.047 0.647
0.769 0.953 0.353
0.869 0.869 0.635
0.953 0.769 0.353
0.228 0.552 0.167
0.448 0.772 0.833
0.552 0.228 0.167
0.772 0.448 0.833
0.091 0.883 0.180
0.108 0.510 0.831
0.117 0.909 0.820
0.201 0.412 0.516
0.210 0.790 0.500
0.283 0.283 0.206
0.319 0.319 0.833
0.412 0.201 0.516
0.490 0.892 0.169
0.510 0.108 0.831
0.588 0.799 0.484
0.681 0.681 0.167
0.717 0.717 0.794
0.790 0.210 0.500
0.799 0.588 0.484
0.883 0.091 0.180
0.892 0.490 0.169
0.909 0.117 0.820
```

Principal peaks in the range 2θ = 15–90°, low angle first:
2θ (°), I/Imax
17.07, 33.9
22.53, 42.4
27.91, 37.5
28.27, 64.9
30.32, 54.9
30.56, 100.0
34.40, 45.8
48.12, 38.2

=====

# 4
Computed powder XRD pattern of V4Br for Cu Kα, from a GGA-PBE-relaxed structure.
Peak positions follow from Bragg's law for the DFT cell and can differ from measured ones.

Crystal structure
```
V4Br
1.0
4.465 0.000 0.000
0.000 4.465 0.000
0.000 0.000 4.465
V Br
4 1
direct
0.000 0.000 0.000
0.000 0.500 0.500
0.500 0.000 0.500
0.500 0.500 0.000
0.500 0.500 0.500
```

Principal peaks in the range 2θ = 15–90°, low angle first:
2θ (°), I/Imax
19.88, 55.1
28.27, 45.6
34.80, 36.7
40.40, 100.0
45.42, 24.1
50.04, 18.0
58.46, 62.0
73.47, 20.0

=====

# 5
Computed powder XRD pattern of V2ZnBr2 for Cu Kα, from a GGA-PBE-relaxed structure.
Peak positions follow from Bragg's law for the DFT cell and can differ from measured ones.

Crystal structure
```
V2ZnBr2
1.0
5.067 0.000 0.000
0.000 5.067 0.000
0.000 0.000 7.790
V Zn Br
4 2 4
direct
0.000 0.000 0.118
0.000 0.000 0.882
0.500 0.500 0.382
0.500 0.500 0.618
0.000 0.000 0.500
0.500 0.500 0.000
0.000 0.500 0.250
0.000 0.500 0.750
0.500 0.000 0.250
0.500 0.000 0.750
```

Principal peaks in the range 2θ = 15–90°, low angle first:
2θ (°), I/Imax
34.00, 100.0
35.43, 84.6
38.98, 20.2
50.98, 28.5
53.56, 15.7
53.69, 15.0
62.70, 32.1
85.76, 12.2

=====

# 6
Computed powder XRD pattern of W3Br8 for Cu Kα, from a GGA-PBE-relaxed structure.
Peak positions follow from Bragg's law for the DFT cell and can differ from measured ones.

Crystal structure
```
W3Br8
1.0
6.356 -7.624 0.000
6.356 7.624 0.000
0.000 0.000 14.781
W Br
12 32
direct
0.031 0.176 0.952
0.069 0.931 0.887
0.176 0.031 0.048
0.324 0.469 0.548
0.431 0.569 0.387
0.469 0.324 0.452
0.531 0.676 0.548
0.569 0.431 0.613
0.676 0.531 0.452
0.824 0.969 0.952
0.931 0.069 0.113
0.969 0.824 0.048
0.043 0.957 0.569
0.076 0.416 0.885
0.077 0.923 0.205
0.084 0.424 0.615
0.136 0.274 0.110
0.159 0.841 0.738
0.212 0.788 0.984
0.226 0.364 0.390
0.274 0.136 0.890
0.288 0.712 0.484
0.341 0.659 0.238
0.364 0.226 0.610
0.416 0.076 0.115
0.423 0.577 0.705
0.424 0.084 0.385
0.457 0.543 0.069
0.543 0.457 0.931
0.576 0.916 0.615
0.577 0.423 0.295
0.584 0.924 0.885
0.636 0.774 0.390
0.659 0.341 0.762
0.712 0.288 0.516
0.726 0.864 0.110
0.774 0.636 0.610
0.788 0.212 0.016
0.841 0.159 0.262
0.864 0.726 0.890
0.916 0.576 0.385
0.923 0.077 0.795
0.924 0.584 0.115
0.957 0.043 0.431
```

Principal peaks in the range 2θ = 15–90°, low angle first:
2θ (°), I/Imax
27.94, 30.7
30.74, 23.0
37.36, 23.8
38.54, 22.2
41.30, 100.0
42.54, 30.2
46.91, 22.0
49.34, 23.8